Calculated powder X-ray diffraction pattern of MnBeNi14 for a wavelength of 1.5418 Å, from a crystal structure in Alexandria, relaxed with GGA-PBE.

The 10 most intense peaks (15 to 90 degrees two-theta), most intense first:
h k l  Position (°2θ)  I_rel
2 0 2  44.70  100.0
2 2 0  51.90  31.2
2 2 4  76.93  17.6
0 0 4  52.48  15.1
4 0 0  76.46  9.0
1 0 1  21.92  1.8
1 1 1  28.38  1.7
1 1 0  25.28  1.1
1 0 2  31.31  1.1
1 1 2  36.24  0.9

Lattice parameters (Å, degrees): 4.9831 4.9831 6.9748 90.00 90.00 90.00
Space group P4/mmm (No. 123)
One atom of each set of equivalent atoms:
Mn (0.0000, 0.0000, 0.0000) [1 per cell]
Be (0.5000, 0.5000, 0.0000) [1 per cell]
Ni (0.0000, 0.0000, 0.5000) [1 per cell]
Ni (0.0000, 0.5000, 0.0000) [2 per cell]
Ni (0.0000, 0.5000, 0.5000) [2 per cell]
Ni (0.2537, 0.2537, 0.2484) [8 per cell]
Ni (0.5000, 0.5000, 0.5000) [1 per cell]